(1)
Diffraction record for DyHf2Tc. The X-ray powder pattern is theoretical, not measured: it uses a PBE-relaxed structure and Cu Kα (weighted mean of Kα1 and Kα2).
Neutral-atom scattering factors, no anomalous dispersion.

Main lines, low angle first (2θ = 10–90°):
(hkl)  Position (°2θ)  I_rel
1 0 1  29.16  21
1 0 2  35.09  100
1 1 0  38.44  54
1 1 3  51.81  18
2 0 0  55.50  19
2 1 2  67.37  30

Cell and atoms:
abc: 3.3116 3.3116 8.0519
angles: 90.00 90.00 90.00
Space group P4/mmm (No. 123)
One atom of each set of equivalent atoms:
Dy 0.0000 0.0000 0.0000 (multiplicity 1)
Hf 0.5000 0.5000 0.3096 (multiplicity 2)
Tc 0.0000 0.0000 0.5000 (multiplicity 1)

(2)
Diffraction record for Ba2CdGa7. The X-ray powder pattern is theoretical, not measured: it uses a PBE-relaxed structure and Cu Kα (weighted mean of Kα1 and Kα2).
Neutral-atom scattering factors, no anomalous dispersion.

Main lines, low angle first (2θ = 10–90°):
(hkl)  Position (°2θ)  I_rel
1 0 3  31.06  55
1 1 2  31.64  100
2 0 0  38.60  61
1 0 5  45.66  23
2 1 3  50.35  28
3 1 2  65.52  24

Cell and atoms:
abc: 4.6647 4.6647 10.9813
angles: 90.00 90.00 90.00
Space group P-4m2 (No. 115)
One atom of each set of equivalent atoms:
Ba 0.0000 0.5000 0.2435 (multiplicity 2)
Cd 0.0000 0.0000 0.5000 (multiplicity 1)
Ga 0.0000 0.0000 0.0000 (multiplicity 1)
Ga 0.0000 0.5000 0.6350 (multiplicity 2)
Ga 0.0000 0.5000 0.8741 (multiplicity 2)
Ga 0.5000 0.5000 0.0000 (multiplicity 1)
Ga 0.5000 0.5000 0.5000 (multiplicity 1)

(3)
Diffraction record for Pm2Pr3Tl2. The X-ray powder pattern is theoretical, not measured: it uses a PBE-relaxed structure and Cu Kα (weighted mean of Kα1 and Kα2).
Neutral-atom scattering factors, no anomalous dispersion.

Main lines, low angle first (2θ = 10–90°):
(hkl)  Position (°2θ)  I_rel
1 1 2  31.16  98
0 2 0  31.94  100
4 0 1  45.22  35
2 0 4  54.96  16
4 2 1  56.43  37
6 0 -2  56.91  20

Cell and atoms:
abc: 9.7058 5.6056 8.9183
angles: 90.00 111.40 90.00
Space group C2/m (No. 12)
One atom of each set of equivalent atoms:
Pm 0.0773 0.0000 0.2313 (multiplicity 4)
Pr 0.0000 0.5000 0.5000 (multiplicity 2)
Pr 0.1546 0.5000 0.9639 (multiplicity 4)
Tl 0.2159 0.0000 0.6479 (multiplicity 4)

(4)
Diffraction record for HfTiRuRh. The X-ray powder pattern is theoretical, not measured: it uses a PBE-relaxed structure and Cu Kα (weighted mean of Kα1 and Kα2).
Neutral-atom scattering factors, no anomalous dispersion.

Main lines, low angle first (2θ = 10–90°):
(hkl)  Position (°2θ)  I_rel
0 0 1  14.08  22
1 0 1  31.41  21
1 1 0  39.91  52
1 0 2  40.24  100
2 0 0  57.72  17
2 1 2  72.70  34

Cell and atoms:
abc: 3.1942 3.1942 6.2893
angles: 90.00 90.00 90.00
Space group P4mm (No. 99)
One atom of each set of equivalent atoms:
Hf 0.0000 0.0000 0.0000 (multiplicity 1)
Ti 0.0000 0.0000 0.5042 (multiplicity 1)
Ru 0.5000 0.5000 0.7404 (multiplicity 1)
Rh 0.5000 0.5000 0.2609 (multiplicity 1)

(5)
Diffraction record for Cs2TbCuF6. The X-ray powder pattern is theoretical, not measured: it uses a PBE-relaxed structure and Cu Kα (weighted mean of Kα1 and Kα2).
Neutral-atom scattering factors, no anomalous dispersion.

Main lines, low angle first (2θ = 10–90°):
(hkl)  Position (°2θ)  I_rel
0 2 2  25.37  65
2 2 0  28.11  100
0 0 4  36.09  22
0 4 0  36.28  22
2 2 4  46.38  24
2 4 2  46.49  24

Cell and atoms:
abc: 8.2588 9.9051 9.9541
angles: 90.00 90.00 90.00
Space group Fmmm (No. 69)
One atom of each set of equivalent atoms:
Cs 0.2500 0.2500 0.2500 (multiplicity 8)
Tb 0.0000 0.0000 0.0000 (multiplicity 4)
Cu 0.0000 0.0000 0.5000 (multiplicity 4)
F 0.0000 0.0000 0.2195 (multiplicity 8)
F 0.0000 0.2205 0.0000 (multiplicity 8)
F 0.2296 0.0000 0.5000 (multiplicity 8)

(6)
Diffraction record for Li3MgAg7. The X-ray powder pattern is theoretical, not measured: it uses a PBE-relaxed structure and Cu Kα (weighted mean of Kα1 and Kα2).
Neutral-atom scattering factors, no anomalous dispersion.

Main lines, low angle first (2θ = 10–90°):
(hkl)  Position (°2θ)  I_rel
0 2 1  25.79  100
2 0 -2  34.72  39
3 1 0  35.65  31
0 4 0  37.30  60
2 2 1  39.10  50
0 2 2  40.98  58

Cell and atoms:
abc: 8.4666 9.6418 5.3553
angles: 90.00 112.41 90.00
Space group C2/m (No. 12)
One atom of each set of equivalent atoms:
Li 0.0000 0.0000 0.0000 (multiplicity 2)
Li 0.0000 0.2313 0.5000 (multiplicity 4)
Mg 0.0000 0.5000 0.0000 (multiplicity 2)
Ag 0.0000 0.5000 0.5000 (multiplicity 2)
Ag 0.1756 0.2370 0.1903 (multiplicity 8)
Ag 0.1813 0.0000 0.5520 (multiplicity 4)

(7)
Diffraction record for TlCuPd2Cl6. The X-ray powder pattern is theoretical, not measured: it uses a PBE-relaxed structure and Cu Kα (weighted mean of Kα1 and Kα2).
Neutral-atom scattering factors, no anomalous dispersion.

Main lines, low angle first (2θ = 10–90°):
(hkl)  Position (°2θ)  I_rel
0 0 1  12.70  100
0 1 0  14.82  53
1 0 -1  19.13  57
1 1 -1  23.11  41
0 2 1  29.15  53
2 1 1  29.81  31

Cell and atoms:
abc: 6.4212 6.6486 7.2523
angles: 74.11 86.55 68.95
Space group P1 (No. 1)
One atom of each set of equivalent atoms:
Tl 0.0000 0.0000 0.0000 (multiplicity 1)
Cu 0.3054 0.2126 0.3348 (multiplicity 1)
Pd 0.6313 0.0759 0.8069 (multiplicity 1)
Pd 0.7347 0.4798 0.0331 (multiplicity 1)
Cl 0.2824 0.1226 0.6660 (multiplicity 1)
Cl 0.3256 0.9069 0.2346 (multiplicity 1)
Cl 0.4745 0.4354 0.8492 (multiplicity 1)
Cl 0.6547 0.2389 0.3082 (multiplicity 1)
Cl 0.8087 0.7233 0.7580 (multiplicity 1)
Cl 0.9957 0.5252 0.2180 (multiplicity 1)

(8)
Diffraction record for V2Se3S6. The X-ray powder pattern is theoretical, not measured: it uses a PBE-relaxed structure and Cu Kα (weighted mean of Kα1 and Kα2).
Neutral-atom scattering factors, no anomalous dispersion.

Main lines, low angle first (2θ = 10–90°):
(hkl)  Position (°2θ)  I_rel
1 1 -1  17.55  100
2 0 -4  23.07  35
1 1 -5  29.21  32
3 1 -2  29.73  33
3 1 0  30.43  48
3 3 -1  53.78  28

Cell and atoms:
abc: 10.5918 5.8459 17.9763
angles: 90.00 105.76 90.00
Space group C2/c (No. 15)
One atom of each set of equivalent atoms:
V 0.0516 0.2437 0.4929 (multiplicity 8)
Se 0.0000 0.1399 0.2500 (multiplicity 4)
Se 0.1809 0.3786 0.3050 (multiplicity 8)
S 0.0426 0.0757 0.9223 (multiplicity 8)
S 0.1066 0.4401 0.0820 (multiplicity 8)
S 0.2166 0.3941 0.4341 (multiplicity 8)

(9)
Diffraction record for Pm2Y5Tm12. The X-ray powder pattern is theoretical, not measured: it uses a PBE-relaxed structure and Cu Kα (weighted mean of Kα1 and Kα2).
Neutral-atom scattering factors, no anomalous dispersion.

Main lines, low angle first (2θ = 10–90°):
(hkl)  Position (°2θ)  I_rel
2 1 -1  31.04  100
1 0 3  31.09  33
1 3 1  36.01  67
2 4 -3  51.81  32
4 -1 0  61.63  33
3 4 0  61.72  23

Cell and atoms:
abc: 6.1104 9.3408 10.5764
angles: 100.99 95.57 90.08
Space group P-1 (No. 2)
One atom of each set of equivalent atoms:
Pm 0.0806 0.3163 0.4729 (multiplicity 2)
Y 0.2370 0.9470 0.4198 (multiplicity 2)
Y 0.3406 0.3689 0.0527 (multiplicity 2)
Y 0.5000 0.0000 0.0000 (multiplicity 1)
Tm 0.0243 0.1044 0.1568 (multiplicity 2)
Tm 0.1320 0.5262 0.7898 (multiplicity 2)
Tm 0.1827 0.7367 0.1042 (multiplicity 2)
Tm 0.2905 0.1591 0.7383 (multiplicity 2)
Tm 0.3953 0.5794 0.3677 (multiplicity 2)
Tm 0.4465 0.7898 0.6849 (multiplicity 2)

(10)
Diffraction record for Na6Tl. The X-ray powder pattern is theoretical, not measured: it uses a PBE-relaxed structure and Cu Kα (weighted mean of Kα1 and Kα2).
Neutral-atom scattering factors, no anomalous dispersion.

Main lines, low angle first (2θ = 10–90°):
(hkl)  Position (°2θ)  I_rel
0 0 1  11.79  89
1 0 0  15.46  97
1 0 1  19.49  64
1 1 1  24.98  63
2 0 0  31.22  56
1 1 2  32.52  100

Cell and atoms:
abc: 5.7297 5.7297 7.5056
angles: 90.00 90.00 90.00
Space group P4/mmm (No. 123)
One atom of each set of equivalent atoms:
Na 0.0000 0.0000 0.0000 (multiplicity 1)
Na 0.0000 0.5000 0.2480 (multiplicity 4)
Na 0.5000 0.5000 0.5000 (multiplicity 1)
Tl 0.5000 0.5000 0.0000 (multiplicity 1)

(11)
Diffraction record for Ti7Sn2Ge2. The X-ray powder pattern is theoretical, not measured: it uses a PBE-relaxed structure and Cu Kα (weighted mean of Kα1 and Kα2).
Neutral-atom scattering factors, no anomalous dispersion.

Main lines, low angle first (2θ = 10–90°):
(hkl)  Position (°2θ)  I_rel
0 2 1  24.06  85
2 0 1  27.31  82
1 1 2  33.89  32
0 4 0  37.81  60
2 2 2  42.87  100
3 3 1  47.62  32

Cell and atoms:
abc: 7.8539 9.5164 5.8799
angles: 90.00 90.00 90.00
Space group Cmmm (No. 65)
One atom of each set of equivalent atoms:
Ti 0.0000 0.0000 0.0000 (multiplicity 2)
Ti 0.0000 0.5000 0.2550 (multiplicity 4)
Ti 0.2500 0.2500 0.2623 (multiplicity 8)
Sn 0.1826 0.0000 0.5000 (multiplicity 4)
Ge 0.0000 0.2749 0.0000 (multiplicity 4)

(12)
Diffraction record for Ba10Bi4O3. The X-ray powder pattern is theoretical, not measured: it uses a PBE-relaxed structure and Cu Kα (weighted mean of Kα1 and Kα2).
Neutral-atom scattering factors, no anomalous dispersion.

Main lines, low angle first (2θ = 10–90°):
(hkl)  Position (°2θ)  I_rel
1 1 6  26.55  38
1 1 8  29.03  100
0 0 14  30.82  23
2 0 0  32.75  60
2 0 14  45.59  31
3 1 8  56.19  33

Cell and atoms:
abc: 5.4687 5.4687 40.6127
angles: 90.00 90.00 90.00
Space group I4/mmm (No. 139)
One atom of each set of equivalent atoms:
Ba 0.0000 0.0000 0.0686 (multiplicity 4)
Ba 0.0000 0.0000 0.2134 (multiplicity 4)
Ba 0.0000 0.5000 0.0000 (multiplicity 4)
Ba 0.0000 0.5000 0.1377 (multiplicity 8)
Bi 0.0000 0.0000 0.3015 (multiplicity 4)
Bi 0.0000 0.0000 0.4321 (multiplicity 4)
O 0.0000 0.0000 0.0000 (multiplicity 2)
O 0.0000 0.0000 0.1369 (multiplicity 4)

(13)
Diffraction record for HoTm3Bi. The X-ray powder pattern is theoretical, not measured: it uses a PBE-relaxed structure and Cu Kα (weighted mean of Kα1 and Kα2).
Neutral-atom scattering factors, no anomalous dispersion.

Main lines, low angle first (2θ = 10–90°):
(hkl)  Position (°2θ)  I_rel
2 0 2  31.00  63
4 0 0  31.23  70
0 2 2  34.03  100
3 1 2  37.28  68
3 3 0  39.36  51
4 2 2  46.86  64

Cell and atoms:
abc: 11.4549 8.5797 6.6788
angles: 90.00 90.00 90.00
Space group Ima2 (No. 46)
One atom of each set of equivalent atoms:
Ho 0.2500 0.2427 0.0000 (multiplicity 4)
Tm 0.0293 0.7097 0.5002 (multiplicity 8)
Tm 0.2500 0.5738 0.2460 (multiplicity 4)
Bi 0.2500 0.5649 0.7643 (multiplicity 4)